(1)
Simulated XRD peak list
Compound: TlNiICl6
Radiation: Cu Kα
Structure: the PBE geometry in Alexandria
Kinematic intensities with the Lorentz-polarization factor, no thermal factor.

Main lines, by angle (2θ = 10–80°):
(hkl), d [Å], 2θ (°), Rel. int.
1 0 1, 5.521, 16.1, 29
1 1 0, 5.373, 16.5, 42
1 1 1, 5.225, 17.0, 33
0 1 1, 4.847, 18.3, 32
0 1 -1, 4.778, 18.6, 100
1 0 -1, 4.005, 22.2, 32
1 1 2, 3.691, 24.1, 41
1 -1 0, 3.596, 24.8, 32
0 1 -2, 3.218, 27.7, 27
2 0 0, 2.878, 31.1, 25

Structural model:
Lattice parameters (Å, degrees): 6.663 6.823 8.115 80.93 69.21 65.86
Space group P1 (No. 1)
Symmetry-distinct sites (fractional):
Tl  0.000  0.000  0.000 (multiplicity 1)
Ni  0.216  0.333  0.292 (multiplicity 1)
I  0.548  0.426  0.620 (multiplicity 1)
Cl  0.004  0.194  0.526 (multiplicity 1)
Cl  0.127  0.612  0.695 (multiplicity 1)
Cl  0.381  0.092  0.078 (multiplicity 1)
Cl  0.553  0.225  0.360 (multiplicity 1)
Cl  0.560  0.603  0.856 (multiplicity 1)
Cl  0.945  0.625  0.239 (multiplicity 1)



(2)
Simulated XRD peak list
Compound: Ga6Cu8Au
Radiation: Cu Kα
Structure: the PBE geometry in Alexandria
Kinematic intensities with the Lorentz-polarization factor, no thermal factor.

Main lines, by angle (2θ = 10–80°):
(hkl), d [Å], 2θ (°), Rel. int.
1 0 0, 8.302, 10.7, 50
1 2 0, 3.138, 28.4, 25
2 2 0, 2.397, 37.5, 19
2 0 1, 2.325, 38.7, 77
3 1 0, 2.303, 39.1, 46
1 2 1, 2.092, 43.3, 100
3 2 0, 1.905, 47.8, 30
4 1 0, 1.812, 50.4, 37
1 4 1, 1.522, 60.9, 24
4 3 1, 1.227, 77.8, 19

Structural model:
Lattice parameters (Å, degrees): 9.5861 9.5861 2.8060 90.00 90.00 120.00
Space group P6/m (No. 175)
Symmetry-distinct sites (fractional):
Ga  0.1026  0.4522  0.0000 (multiplicity 6)
Cu  0.0937  0.8018  0.5000 (multiplicity 6)
Cu  0.3333  0.6667  0.5000 (multiplicity 2)
Au  0.0000  0.0000  0.0000 (multiplicity 1)



(3)
Simulated XRD peak list
Compound: TmCo4Pb
Radiation: Cu Kα
Structure: the PBE geometry in Alexandria
Kinematic intensities with the Lorentz-polarization factor, no thermal factor.

Main lines, by angle (2θ = 10–80°):
(hkl), d [Å], 2θ (°), Rel. int.
1 1 1, 4.102, 21.7, 23
2 2 0, 2.512, 35.7, 73
3 1 1, 2.142, 42.2, 100
2 2 2, 2.051, 44.2, 12
4 0 0, 1.776, 51.4, 2
3 3 1, 1.630, 56.5, 6
4 2 2, 1.450, 64.2, 27
5 1 1, 1.367, 68.6, 31
4 4 0, 1.256, 75.7, 22
5 3 1, 1.201, 79.9, 5

Structural model:
Lattice parameters (Å, degrees): 7.105 7.105 7.105 90.00 90.00 90.00
Space group F-43m (No. 216)
Symmetry-distinct sites (fractional):
Tm  0.000  0.000  0.000 (multiplicity 4)
Co  0.125  0.125  0.625 (multiplicity 16)
Pb  0.250  0.250  0.250 (multiplicity 4)



(4)
Simulated XRD peak list
Compound: Sc4SN
Radiation: Cu Kα
Structure: the PBE geometry in Alexandria
Kinematic intensities with the Lorentz-polarization factor, no thermal factor.

Main lines, by angle (2θ = 10–80°):
(hkl), d [Å], 2θ (°), Rel. int.
2 0 0, 5.404, 16.4, 35
2 0 -2, 2.833, 31.6, 22
1 1 1, 2.785, 32.1, 55
4 0 0, 2.702, 33.2, 26
2 0 2, 2.435, 36.9, 50
3 1 -1, 2.388, 37.7, 100
1 1 -3, 1.737, 52.7, 25
0 2 0, 1.698, 54.0, 17
5 1 1, 1.675, 54.8, 31
2 2 2, 1.393, 67.2, 14

Structural model:
Lattice parameters (Å, degrees): 10.983 3.395 6.063 90.00 100.23 90.00
Space group C2/m (No. 12)
Symmetry-distinct sites (fractional):
Sc  0.116  0.000  0.398 (multiplicity 4)
Sc  0.125  0.500  0.833 (multiplicity 4)
S  0.000  0.000  0.000 (multiplicity 2)
N  0.000  0.500  0.500 (multiplicity 2)